Structure and theoretical powder diffractogram of CsMnCl3O2 (a crystal structure in Alexandria, relaxed with PBE+U; a wavelength of 1.5418 Å).
Kinematic intensities with the Lorentz-polarization factor, no thermal factor.

Structure:
```
data_CsMnCl3O2
_space_group_name_H-M_alt 'P c c a'
_space_group_IT_number 54
_cell_length_a 9.3527
_cell_length_b 7.0382
_cell_length_c 12.3778
_cell_angle_alpha 90.00
_cell_angle_beta 90.00
_cell_angle_gamma 90.00
loop_
_space_group_symop_operation_xyz
'x,y,z'
'-x,-y,-z'
'-x+1/2,-y,z'
'x+1/2,y,-z'
'x+1/2,-y,-z+1/2'
'-x+1/2,y,z+1/2'
'-x,y,-z+1/2'
'x,-y,z+1/2'
loop_
_atom_site_label
_atom_site_type_symbol
_atom_site_fract_x
_atom_site_fract_y
_atom_site_fract_z
Cs1 Cs 0.2500 0.0000 0.1035
Mn1 Mn 0.0000 0.4470 0.2500
Cl1 Cl 0.0842 0.2363 0.3760
Cl2 Cl 0.2500 0.5000 0.1572
O1 O 0.0302 0.2752 0.7976
```

Main lines, by intensity (5° ≤ 2θ ≤ 70°):
| h k l | two_theta | intensity |
| --- | --- | --- |
| 1 2 2 | 30.8 | 100 |
| 1 0 2 | 17.2 | 73 |
| 3 0 2 | 32.1 | 66 |
| 2 1 0 | 22.8 | 59 |
| 0 1 2 | 19.1 | 50 |
| 1 1 2 | 21.3 | 48 |
| 2 2 0 | 31.8 | 40 |
| 2 2 4 | 43.5 | 39 |